Starting from a PBE-relaxed structure, the X-ray diffraction stick pattern of AlHO was computed for copper Kα.
No peak broadening, texture or thermal motion is included.

Cell and atoms:
Cell: 2.7903 3.6950 5.9778 Å, 90.00 90.00 90.00°
Space group Pmmn (No. 59, origin choice 2)
Inequivalent atoms, fractional coordinates:
Al  0.2500  0.2500  0.1424 (multiplicity 2)
H  0.2500  0.7500  0.6720 (multiplicity 2)
O  0.2500  0.7500  0.0886 (multiplicity 2)

Largest 10 diffraction maxima, in order of rising 2θ, 2θ from 10° to 90°:
14.82 deg, rel. 1000
28.40 deg, rel. 72
35.50 deg, rel. 174
44.42 deg, rel. 188
49.32 deg, rel. 74
51.79 deg, rel. 58
56.77 deg, rel. 35
62.24 deg, rel. 60
62.55 deg, rel. 44
68.53 deg, rel. 87

=====

Starting from a PBE-relaxed structure, the X-ray diffraction stick pattern of Tb2YCu2 was computed for copper Kα.
No peak broadening, texture or thermal motion is included.

Cell and atoms:
Cell: 3.5182 26.0808 5.0776 Å, 90.00 90.00 90.00°
Space group Cmcm (No. 63)
Inequivalent atoms, fractional coordinates:
Tb  0.0000  0.0466  0.2500 (multiplicity 4)
Tb  0.0000  0.2297  0.2500 (multiplicity 4)
Y  0.0000  0.1413  0.7500 (multiplicity 4)
Cu  0.0000  0.3600  0.7500 (multiplicity 4)
Cu  0.0000  0.4543  0.2500 (multiplicity 4)

Largest 10 diffraction maxima, in order of rising 2θ, 2θ from 10° to 90°:
27.00 deg, rel. 178
34.39 deg, rel. 171
35.35 deg, rel. 294
35.49 deg, rel. 1000
50.15 deg, rel. 115
51.98 deg, rel. 96
59.49 deg, rel. 103
63.55 deg, rel. 177
64.44 deg, rel. 99
69.34 deg, rel. 89

=====

Starting from a PBE-relaxed structure, the X-ray diffraction stick pattern of Sr3SnSb3 was computed for copper Kα.
No peak broadening, texture or thermal motion is included.

Cell and atoms:
Cell: 20.9528 7.1985 13.8238 Å, 90.00 90.00 90.00°
Space group Cmce (No. 64)
Inequivalent atoms, fractional coordinates:
Sr  0.0000  0.1936  0.1402 (multiplicity 8)
Sr  0.1749  0.1885  0.8700 (multiplicity 16)
Sn  0.0881  0.0000  0.5000 (multiplicity 8)
Sb  0.0000  0.2338  0.3797 (multiplicity 8)
Sb  0.1656  0.2225  0.6272 (multiplicity 16)

Largest 10 diffraction maxima, in order of rising 2θ, 2θ from 10° to 90°:
14.50 deg, rel. 262
24.74 deg, rel. 460
25.49 deg, rel. 802
25.78 deg, rel. 586
35.83 deg, rel. 853
36.03 deg, rel. 876
36.58 deg, rel. 1000
44.66 deg, rel. 350
65.24 deg, rel. 274
65.62 deg, rel. 268

=====

Starting from a PBE-relaxed structure, the X-ray diffraction stick pattern of PrPaSi was computed for copper Kα.
No peak broadening, texture or thermal motion is included.

Cell and atoms:
Cell: 9.1846 6.9083 10.8349 Å, 90.00 90.00 90.00°
Space group Cmce (No. 64)
Inequivalent atoms, fractional coordinates:
Pr  0.1956  0.0000  0.0000 (multiplicity 8)
Pa  0.0000  0.1704  0.2758 (multiplicity 8)
Si  0.0000  0.1561  0.5427 (multiplicity 8)

Largest 10 diffraction maxima, in order of rising 2θ, 2θ from 10° to 90°:
19.33 deg, rel. 225
25.43 deg, rel. 1000
27.10 deg, rel. 310
30.70 deg, rel. 431
32.43 deg, rel. 358
33.06 deg, rel. 601
33.50 deg, rel. 363
41.16 deg, rel. 224
47.00 deg, rel. 197
53.44 deg, rel. 185

=====

Starting from a PBE-relaxed structure, the X-ray diffraction stick pattern of Tb3Pm4PuS8 was computed for copper Kα.
No peak broadening, texture or thermal motion is included.

Cell and atoms:
Cell: 7.9559 7.9559 19.5709 Å, 90.00 90.00 120.00°
Space group R-3m (No. 166, hexagonal axes)
Inequivalent atoms, fractional coordinates:
Tb  0.0000  0.5000  0.0000 (multiplicity 9)
Pm  0.0000  0.0000  0.5000 (multiplicity 3)
Pm  0.0000  0.5000  0.5000 (multiplicity 9)
Pu  0.0000  0.0000  0.0000 (multiplicity 3)
S  0.0000  0.0000  0.2533 (multiplicity 6)
S  0.0008  0.5004  0.2530 (multiplicity 18)

Largest 10 diffraction maxima, in order of rising 2θ, 2θ from 10° to 90°:
27.34 deg, rel. 209
27.45 deg, rel. 618
31.77 deg, rel. 1000
45.47 deg, rel. 364
45.61 deg, rel. 362
54.02 deg, rel. 307
56.65 deg, rel. 189
75.37 deg, rel. 162
75.57 deg, rel. 162
84.28 deg, rel. 186

=====

Starting from a PBE-relaxed structure, the X-ray diffraction stick pattern of Ac6P2Se3I was computed for copper Kα.
No peak broadening, texture or thermal motion is included.

Cell and atoms:
Cell: 19.5269 4.4691 9.0824 Å, 90.00 102.37 90.00°
Space group C2/m (No. 12)
Inequivalent atoms, fractional coordinates:
Ac  0.0082  0.0000  0.2741 (multiplicity 4)
Ac  0.1712  0.5000  0.5740 (multiplicity 4)
Ac  0.1764  0.5000  0.1056 (multiplicity 4)
P  0.1680  0.0000  0.3344 (multiplicity 4)
Se  0.0000  0.5000  0.5000 (multiplicity 2)
Se  0.1607  0.0000  0.8344 (multiplicity 4)
I  0.0000  0.5000  0.0000 (multiplicity 2)

Largest 10 diffraction maxima, in order of rising 2θ, 2θ from 10° to 90°:
23.87 deg, rel. 111
24.33 deg, rel. 366
28.03 deg, rel. 1000
39.77 deg, rel. 353
40.35 deg, rel. 388
49.85 deg, rel. 203
57.91 deg, rel. 81
65.21 deg, rel. 87
65.99 deg, rel. 174
73.03 deg, rel. 78

=====

Starting from a PBE-relaxed structure, the X-ray diffraction stick pattern of HoEr5Sc was computed for copper Kα.
No peak broadening, texture or thermal motion is included.

Cell and atoms:
Cell: 8.9878 3.5468 13.5113 Å, 90.00 100.19 90.00°
Space group P2_1/m (No. 11)
Inequivalent atoms, fractional coordinates:
Ho  0.1301  0.2500  0.1507 (multiplicity 2)
Er  0.0101  0.7500  0.3640 (multiplicity 2)
Er  0.1884  0.2500  0.8965 (multiplicity 2)
Er  0.3210  0.2500  0.5079 (multiplicity 2)
Er  0.3368  0.7500  0.7257 (multiplicity 2)
Er  0.4257  0.7500  0.0847 (multiplicity 2)
Sc  0.3639  0.7500  0.3121 (multiplicity 2)

Largest 10 diffraction maxima, in order of rising 2θ, 2θ from 10° to 90°:
26.93 deg, rel. 192
30.65 deg, rel. 169
30.98 deg, rel. 196
31.10 deg, rel. 460
32.29 deg, rel. 1000
32.35 deg, rel. 227
32.80 deg, rel. 297
33.69 deg, rel. 347
37.00 deg, rel. 271
51.53 deg, rel. 161

=====

Starting from a PBE-relaxed structure, the X-ray diffraction stick pattern of SmDy2Sc5 was computed for copper Kα.
No peak broadening, texture or thermal motion is included.

Cell and atoms:
Cell: 6.8601 10.7411 11.9017 Å, 90.00 90.00 90.00°
Space group Fmm2 (No. 42)
Inequivalent atoms, fractional coordinates:
Sm  0.0000  0.0000  0.0000 (multiplicity 4)
Dy  0.0000  0.2443  0.6694 (multiplicity 8)
Sc  0.0000  0.0000  0.4980 (multiplicity 4)
Sc  0.2482  0.0000  0.2541 (multiplicity 8)
Sc  0.2500  0.2500  0.4156 (multiplicity 8)

Largest 10 diffraction maxima, in order of rising 2θ, 2θ from 10° to 90°:
14.89 deg, rel. 117
22.30 deg, rel. 248
30.06 deg, rel. 263
33.37 deg, rel. 239
34.48 deg, rel. 1000
45.52 deg, rel. 162
53.39 deg, rel. 208
60.36 deg, rel. 186
64.42 deg, rel. 202
65.11 deg, rel. 150

=====

Starting from a PBE-relaxed structure, the X-ray diffraction stick pattern of MgZn7O8 was computed for copper Kα.
No peak broadening, texture or thermal motion is included.

Cell and atoms:
Cell: 6.5782 6.5782 5.2916 Å, 90.00 90.00 120.00°
Space group P3m1 (No. 156)
Inequivalent atoms, fractional coordinates:
Mg  0.0000  0.0000  0.0000 (multiplicity 1)
Zn  0.0017  0.5008  0.9971 (multiplicity 3)
Zn  0.1667  0.3333  0.5001 (multiplicity 3)
Zn  0.6667  0.3333  0.4981 (multiplicity 1)
O  0.0000  0.0000  0.3773 (multiplicity 1)
O  0.0003  0.5001  0.3782 (multiplicity 3)
O  0.1653  0.3306  0.8799 (multiplicity 3)
O  0.6667  0.3333  0.8786 (multiplicity 1)

Largest 10 diffraction maxima, in order of rising 2θ, 2θ from 10° to 90°:
31.41 deg, rel. 549
33.88 deg, rel. 407
35.80 deg, rel. 1000
46.87 deg, rel. 241
55.91 deg, rel. 368
61.87 deg, rel. 352
65.54 deg, rel. 55
67.00 deg, rel. 297
68.19 deg, rel. 149
88.17 deg, rel. 121

=====

Question: What is the formula in the sixth record?
Answer: Ac6P2Se3I